This entry pairs a crystal structure of LiCu2O2 with its simulated powder X-ray diffraction pattern. Radiation: Cu Ka. Structure: a crystal structure in the Materials Project, relaxed with GGA-PBE.

Atomic structure:
Lattice parameters (Å, degrees): 5.7582 5.7582 12.5586 90.00 90.00 90.00
Positions (direct):
1 Li 0.0065 0.2500 0.1777
2 Li 0.2500 0.0065 0.6777
3 Li 0.2500 0.4935 0.6777
4 Li 0.4935 0.2500 0.1777
5 Li 0.5065 0.7500 0.8223
6 Li 0.7500 0.5065 0.3223
7 Li 0.7500 0.9935 0.3223
8 Li 0.9935 0.7500 0.8223
9 Cu 0.0020 0.7500 0.1505
10 Cu 0.0021 0.7500 0.5067
11 Cu 0.2500 0.5020 0.3495
12 Cu 0.2500 0.5021 0.9933
13 Cu 0.2500 0.9980 0.3495
14 Cu 0.2500 0.9979 0.9933
15 Cu 0.4980 0.7500 0.1505
16 Cu 0.4979 0.7500 0.5067
17 Cu 0.5021 0.2500 0.4933
18 Cu 0.5020 0.2500 0.8495
19 Cu 0.7500 0.0021 0.0067
20 Cu 0.7500 0.0020 0.6505
21 Cu 0.7500 0.4979 0.0067
22 Cu 0.7500 0.4980 0.6505
23 Cu 0.9979 0.2500 0.4933
24 Cu 0.9980 0.2500 0.8495
25 O 0.0092 0.2500 0.3437
26 O 0.0094 0.7500 0.3585
27 O 0.2500 0.0092 0.8437
28 O 0.2500 0.4908 0.8437
29 O 0.2500 0.5094 0.1415
30 O 0.2500 0.9906 0.1415
31 O 0.4908 0.2500 0.3437
32 O 0.4906 0.7500 0.3585
33 O 0.5094 0.2500 0.6415
34 O 0.5092 0.7500 0.6563
35 O 0.7500 0.0094 0.8585
36 O 0.7500 0.4906 0.8585
37 O 0.7500 0.5092 0.1563
38 O 0.7500 0.9908 0.1563
39 O 0.9906 0.2500 0.6415
40 O 0.9908 0.7500 0.6563

Top 10 peaks for 2θ from 10° to 90°, in order of falling intensity:
- (2 0 3), 37.93 deg, I 100
- (2 2 0), 44.50 deg, I 79
- (1 0 2), 20.93 deg, I 44
- (1 0 1), 16.94 deg, I 39
- (2 2 6), 63.78 deg, I 36
- (0 0 6), 43.22 deg, I 33
- (2 0 1), 31.89 deg, I 29
- (0 0 2), 14.10 deg, I 25
- (4 2 3), 77.57 deg, I 24
- (4 0 0), 64.76 deg, I 22

This entry pairs a crystal structure of NaBiTe2 with its simulated powder X-ray diffraction pattern. Radiation: Cu Ka. Structure: a crystal structure in the Materials Project, relaxed with GGA-PBE.

Atomic structure:
Lattice parameters (Å, degrees): 4.5314 4.5314 6.3195 90.00 90.00 90.00
Positions (direct):
1 Na 0.0000 0.0000 0.0000
2 Bi 0.5000 0.5000 0.5000
3 Te 0.0000 0.0000 0.5000
4 Te 0.5000 0.5000 0.0000

Top 10 peaks for 2θ from 10° to 90°, in order of falling intensity:
- (1 1 0), 27.84 deg, I 100
- (1 1 2), 40.08 deg, I 76
- (0 0 2), 28.24 deg, I 48
- (2 0 2), 49.50 deg, I 41
- (2 0 0), 39.79 deg, I 39
- (0 0 1), 14.01 deg, I 34
- (1 0 0), 19.59 deg, I 33
- (3 1 2), 72.42 deg, I 27
- (1 1 1), 31.30 deg, I 21
- (3 1 0), 65.09 deg, I 18